The following is a calculated powder diffractogram of Ho2TmAl3Si2Pd. It was derived from DFT lattice parameters and positions (PBE), using Cu Kα (weighted mean of Kα1 and Kα2).

Most intense lines, 10° ≤ 2θ ≤ 90°, in order of rising 2θ:
(hkl)	two_theta	I (rel.)
1 0 0	21.00	59
0 3 1	26.03	34
0 4 0	30.15	52
1 3 1	33.68	74
1 4 0	37.03	100
0 1 3	40.24	26
2 0 0	42.75	25
1 5 3	60.40	34

Atomic structure:
a b c (Å): 4.230 11.852 6.849
angles (deg): 90.00 90.00 90.00
Space group Amm2 (No. 38)
One atom of each set of equivalent atoms:
Ho (0.000, 0.209, 0.000) (multiplicity 4)
Tm (0.000, 0.000, 0.373) (multiplicity 2)
Al (0.500, 0.000, 0.030) (multiplicity 2)
Al (0.500, 0.120, 0.671) (multiplicity 4)
Si (0.500, 0.166, 0.291) (multiplicity 4)
Pd (0.000, 0.000, 0.788) (multiplicity 2)

The following is a calculated powder diffractogram of TbAlIn4Ir. It was derived from DFT lattice parameters and positions (PBE), using Cu Kα (weighted mean of Kα1 and Kα2).

Most intense lines, 10° ≤ 2θ ≤ 90°, in order of rising 2θ:
(hkl)	two_theta	I (rel.)
1 0 0	19.23	43
1 0 2	30.89	27
1 1 2	36.64	100
2 0 0	39.04	51
1 1 3	45.98	11
2 1 2	50.59	14
2 2 0	56.39	17
3 1 2	69.16	30

Atomic structure:
a b c (Å): 4.615 4.615 7.436
angles (deg): 90.00 90.00 90.00
Space group P4/mmm (No. 123)
One atom of each set of equivalent atoms:
Tb (0.000, 0.000, 0.000) (multiplicity 1)
Al (0.500, 0.500, 0.000) (multiplicity 1)
In (0.000, 0.500, 0.296) (multiplicity 4)
Ir (0.000, 0.000, 0.500) (multiplicity 1)